Diffraction record for TmCd3. The powder diffraction line list is theoretical, not measured: it uses a cell relaxed with GGA-PBE and a wavelength of 1.5418 Å.

Cell and atoms:
```
data_TmCd3
_chemical_formula_sum 'Tm4 Cd12'
_cell_length_a 7.2002
_cell_length_b 10.7608
_cell_length_c 4.8582
_cell_angle_alpha 90.00
_cell_angle_beta 90.00
_cell_angle_gamma 90.00
_space_group_name_H-M_alt 'C m c m'
_space_group_IT_number 63
_space_group_name_Hall '-C 2c 2'
loop_
_atom_site_label
_atom_site_fract_x
_atom_site_fract_y
_atom_site_fract_z
Tm1 0.0000 0.1314 0.2500
Cd1 0.0000 0.3225 0.7500
Cd2 0.2155 0.4037 0.2500
```

Principal peaks in the range 2θ from 10° to 80°, in order of falling intensity:
(2 2 1), 2θ = 35.2°, rel. 100
(0 0 2), 2θ = 37.0°, rel. 28
(4 0 0), 2θ = 50.7°, rel. 19
(0 4 0), 2θ = 33.3°, rel. 19
(1 3 1), 2θ = 33.5°, rel. 17
(0 4 1), 2θ = 38.2°, rel. 16
(2 2 3), 2θ = 65.5°, rel. 16
(4 0 2), 2θ = 64.4°, rel. 10